Al3GaP4: theoretical XRD peak list (Cu Kα X-rays), based on the PBE geometry in Alexandria.
Peak positions follow from Bragg's law for the DFT cell and can differ from measured ones.

Cell and atoms:
```
data_Al3GaP4
_chemical_formula_sum 'Al3 Ga1 P4'
_cell_length_a 5.5953
_cell_length_b 5.5953
_cell_length_c 5.5953
_cell_angle_alpha 90.00
_cell_angle_beta 90.00
_cell_angle_gamma 90.00
_space_group_name_H-M_alt 'P 1'
_space_group_IT_number 1
_space_group_name_Hall 'P 1'
loop_
_atom_site_label
_atom_site_fract_x
_atom_site_fract_y
_atom_site_fract_z
Al1 0.0000 0.0000 0.5000
Al2 0.0000 0.5000 0.0000
Al3 0.5000 0.0000 0.0000
Ga1 0.0000 0.0000 0.0000
P1 0.2509 0.2509 0.2509
P2 0.2509 0.7491 0.7491
P3 0.7491 0.2509 0.7491
P4 0.7491 0.7491 0.2509
```

Main lines, by angle (2θ = 15–90°):
2θ = 15.8°, 5.595 Å, rel. 100, (1 0 0); 2θ = 22.5°, 3.956 Å, rel. 18, (1 1 0); 2θ = 27.6°, 3.230 Å, rel. 55, (1 1 1); 2θ = 35.9°, 2.502 Å, rel. 52, (2 1 0); 2θ = 45.9°, 1.978 Å, rel. 93, (2 2 0); 2θ = 48.8°, 1.865 Å, rel. 26, (3 0 0); 2θ = 54.4°, 1.687 Å, rel. 21, (3 1 1); 2θ = 59.6°, 1.552 Å, rel. 11, (3 2 0); 2θ = 66.9°, 1.399 Å, rel. 15, (4 0 0); 2θ = 69.2°, 1.357 Å, rel. 15, (3 2 2); 2θ = 78.3°, 1.221 Å, rel. 10, (4 2 1); 2θ = 84.9°, 1.142 Å, rel. 31, (4 2 2)